RbLaMg6: calculated powder X-ray diffraction pattern (Cu Kα), based on the GGA-PBE geometry in the Materials Project.
Peak positions follow from Bragg's law for the DFT cell and can differ from measured ones.

Structural model:
a b c (Å): 5.383 7.292 12.307
angles (deg): 90.00 90.00 90.00
Space group Amm2 (No. 38)
Inequivalent atoms, fractional coordinates:
Rb  0.000  0.000  0.000 x2
La  0.000  0.000  0.508 x2
Mg  0.000  0.242  0.249 x4
Mg  0.500  0.000  0.328 x2
Mg  0.500  0.000  0.810 x2
Mg  0.500  0.230  0.603 x4

Peak list (10 most intense, 2θ = 10–90°, low angle first)
14.39°, d = 6.153 Å, I = 37.5, hkl 0 0 2; 16.47°, d = 5.383 Å, I = 35.2, hkl 1 0 0; 21.94°, d = 4.051 Å, I = 45.0, hkl 1 0 2; 28.46°, d = 3.137 Å, I = 37.6, hkl 0 2 2; 29.02°, d = 3.077 Å, I = 18.4, hkl 0 0 4; 33.05°, d = 2.710 Å, I = 100.0, hkl 1 2 2; 33.29°, d = 2.691 Å, I = 31.1, hkl 2 0 0; 33.55°, d = 2.671 Å, I = 45.8, hkl 1 0 4; 44.35°, d = 2.043 Å, I = 22.0, hkl 2 2 2; 59.34°, d = 1.557 Å, I = 17.9, hkl 3 2 2

=====

RbLaMg6: calculated powder X-ray diffraction pattern (Cu Kα), based on the GGA-PBE geometry in the Materials Project.
Peak positions follow from Bragg's law for the DFT cell and can differ from measured ones.

Structural model:
a b c (Å): 5.428 7.231 12.062
angles (deg): 90.00 90.00 90.00
Space group Amm2 (No. 38)
Inequivalent atoms, fractional coordinates:
Rb  0.000  0.000  0.000 x2
La  0.500  0.000  0.194 x2
Mg  0.000  0.000  0.518 x2
Mg  0.000  0.248  0.263 x4
Mg  0.500  0.000  0.697 x2
Mg  0.500  0.215  0.437 x4

Peak list (10 most intense, 2θ = 10–90°, low angle first)
14.28°, d = 6.202 Å, I = 61.0, hkl 0 1 1; 21.76°, d = 4.085 Å, I = 33.0, hkl 1 1 1; 22.03°, d = 4.034 Å, I = 32.7, hkl 1 0 2; 29.63°, d = 3.015 Å, I = 21.4, hkl 0 0 4; 30.30°, d = 2.950 Å, I = 30.5, hkl 1 1 3; 33.01°, d = 2.714 Å, I = 31.1, hkl 2 0 0; 33.27°, d = 2.693 Å, I = 100.0, hkl 1 2 2; 34.01°, d = 2.636 Å, I = 30.1, hkl 1 0 4; 59.12°, d = 1.563 Å, I = 18.4, hkl 3 2 2; 63.03°, d = 1.475 Å, I = 15.1, hkl 2 2 6

=====

La4MgRu: calculated powder X-ray diffraction pattern (Cu Kα), based on the GGA-PBE geometry in the Materials Project.
Peak positions follow from Bragg's law for the DFT cell and can differ from measured ones.

Structural model:
a b c (Å): 14.351 14.351 14.351
angles (deg): 90.00 90.00 90.00
Space group F-43m (No. 216)
Inequivalent atoms, fractional coordinates:
La  0.000  0.000  0.188 x24
La  0.060  0.250  0.250 x24
La  0.156  0.156  0.656 x16
Mg  0.078  0.078  0.422 x16
Ru  0.137  0.137  0.863 x16

Peak list (10 most intense, 2θ = 10–90°, low angle first)
10.68°, d = 8.285 Å, I = 28.1, hkl 1 1 1; 27.08°, d = 3.292 Å, I = 45.0, hkl 3 3 1; 30.52°, d = 2.929 Å, I = 57.7, hkl 4 2 2; 32.42°, d = 2.762 Å, I = 100.0, hkl 5 1 1; 35.38°, d = 2.537 Å, I = 38.5, hkl 4 4 0; 52.17°, d = 1.753 Å, I = 15.5, hkl 7 3 3; 54.24°, d = 1.691 Å, I = 53.8, hkl 6 6 0; 55.45°, d = 1.657 Å, I = 15.0, hkl 5 5 5; 81.28°, d = 1.184 Å, I = 15.5, hkl 11 5 1; 82.95°, d = 1.164 Å, I = 16.0, hkl 10 6 4

=====

La3Mg2TiS8: calculated powder X-ray diffraction pattern (Cu Kα), based on the GGA-PBE geometry in the Materials Project.
Peak positions follow from Bragg's law for the DFT cell and can differ from measured ones.

Structural model:
a b c (Å): 8.0952 8.0952 19.2833
angles (deg): 90.00 90.00 120.00
Space group R-3m (No. 166, hexagonal axes)
Inequivalent atoms, fractional coordinates:
La  0.0000  0.5000  0.0000 x9
Mg  0.0000  0.0000  0.1248 x6
Ti  0.0000  0.0000  0.5000 x3
S  0.0000  0.0000  0.2514 x6
S  0.0224  0.5112  0.2408 x18

Peak list (10 most intense, 2θ = 10–90°, low angle first)
13.44°, d = 6.589 Å, I = 52.8, hkl 1 0 1; 13.78°, d = 6.428 Å, I = 44.3, hkl 0 0 3; 25.83°, d = 3.449 Å, I = 63.4, hkl 0 2 1; 26.02°, d = 3.425 Å, I = 32.4, hkl 1 1 3; 26.38°, d = 3.379 Å, I = 18.5, hkl 0 1 5; 31.56°, d = 2.835 Å, I = 100.0, hkl 0 2 4; 34.58°, d = 2.594 Å, I = 25.3, hkl 2 0 5; 44.78°, d = 2.024 Å, I = 47.9, hkl 2 2 0; 45.68°, d = 1.986 Å, I = 43.6, hkl 2 0 8; 55.81°, d = 1.647 Å, I = 17.6, hkl 4 0 4